Entry 1:
For Na2PrPuO6, the PBE geometry in Alexandria gives the theoretical X-ray powder pattern in this record (λ = 1.5418 Å (Cu Kα)).
Peak positions follow from Bragg's law for the DFT cell and can differ from measured ones.

Structure:
Lattice parameters (Å, degrees): 5.835 6.024 10.226 90.00 124.69 90.00
Space group P2_1/c (No. 14)
Symmetry-distinct sites (fractional):
1 Na 0.248 0.039 0.254
2 Pr 0.500 0.000 0.000
3 Pu 0.000 0.000 0.500
4 O 0.105 0.219 0.938
5 O 0.236 0.674 0.951
6 O 0.333 0.048 0.727

Principal peaks in the range 2θ from 5° to 70°, in order of falling intensity:
- 21.2 deg, d = 4.195 Å, I = 100
- 30.1 deg, d = 2.968 Å, I = 72
- 48.5 deg, d = 1.878 Å, I = 23
- 29.7 deg, d = 3.012 Å, I = 19
- 43.2 deg, d = 2.096 Å, I = 18
- 54.1 deg, d = 1.694 Å, I = 18
- 30.6 deg, d = 2.918 Å, I = 16
- 52.9 deg, d = 1.730 Å, I = 16
- 62.6 deg, d = 1.484 Å, I = 11
- 37.5 deg, d = 2.397 Å, I = 10

***

Entry 2:
For PdSe5F, the PBE geometry in Alexandria gives the theoretical X-ray powder pattern in this record (λ = 1.5418 Å (Cu Kα)).
Peak positions follow from Bragg's law for the DFT cell and can differ from measured ones.

Structure:
Lattice parameters (Å, degrees): 5.888 5.930 7.217 91.12 90.74 102.41
Space group P1 (No. 1)
Symmetry-distinct sites (fractional):
1 Pd 0.000 0.000 0.000
2 Se 0.074 0.405 0.127
3 Se 0.186 0.917 0.708
4 Se 0.796 0.108 0.270
5 Se 0.839 0.036 0.640
6 Se 0.871 0.592 0.901
7 F 0.396 0.173 0.604

Principal peaks in the range 2θ from 5° to 70°, in order of falling intensity:
- 15.4 deg, d = 5.750 Å, I = 100
- 19.9 deg, d = 4.462 Å, I = 52
- 15.3 deg, d = 5.789 Å, I = 39
- 22.9 deg, d = 3.885 Å, I = 36
- 12.3 deg, d = 7.215 Å, I = 33
- 40.7 deg, d = 2.219 Å, I = 29
- 37.7 deg, d = 2.387 Å, I = 22
- 52.8 deg, d = 1.734 Å, I = 20
- 40.4 deg, d = 2.232 Å, I = 16
- 30.9 deg, d = 2.895 Å, I = 15

***

Entry 3:
For NdEr4Ga4, the PBE geometry in Alexandria gives the theoretical X-ray powder pattern in this record (λ = 1.5418 Å (Cu Kα)).
Peak positions follow from Bragg's law for the DFT cell and can differ from measured ones.

Structure:
Lattice parameters (Å, degrees): 9.173 9.173 5.857 90.00 90.00 90.00
Space group P4_2/n (No. 86, origin choice 2)
Symmetry-distinct sites (fractional):
1 Nd 0.250 0.250 0.250
2 Er 0.078 0.655 0.131
3 Ga 0.030 0.611 0.626

Principal peaks in the range 2θ from 5° to 70°, in order of falling intensity:
- 30.8 deg, d = 2.901 Å, I = 100
- 32.1 deg, d = 2.790 Å, I = 55
- 26.5 deg, d = 3.360 Å, I = 52
- 44.2 deg, d = 2.051 Å, I = 32
- 42.8 deg, d = 2.115 Å, I = 30
- 47.3 deg, d = 1.921 Å, I = 25
- 37.7 deg, d = 2.383 Å, I = 19
- 51.6 deg, d = 1.772 Å, I = 18
- 34.5 deg, d = 2.599 Å, I = 18
- 52.3 deg, d = 1.751 Å, I = 16

***

Entry 4:
For CrHg, the PBE geometry in Alexandria gives the theoretical X-ray powder pattern in this record (λ = 1.5418 Å (Cu Kα)).
Peak positions follow from Bragg's law for the DFT cell and can differ from measured ones.

Structure:
Lattice parameters (Å, degrees): 9.768 9.768 2.918 90.00 90.00 90.00
Space group I4/m (No. 87)
Symmetry-distinct sites (fractional):
1 Cr 0.025 0.367 0.000
2 Hg 0.140 0.837 0.500

Principal peaks in the range 2θ from 5° to 70°, in order of falling intensity:
- 41.6 deg, d = 2.173 Å, I = 100
- 28.9 deg, d = 3.089 Å, I = 56
- 39.1 deg, d = 2.302 Å, I = 50
- 32.0 deg, d = 2.796 Å, I = 43
- 56.7 deg, d = 1.623 Å, I = 37
- 36.8 deg, d = 2.442 Å, I = 32
- 12.8 deg, d = 6.907 Å, I = 12
- 56.5 deg, d = 1.628 Å, I = 11
- 18.2 deg, d = 4.884 Å, I = 11
- 66.5 deg, d = 1.407 Å, I = 11

***

Entry 5:
For CeNdGa4, the PBE geometry in Alexandria gives the theoretical X-ray powder pattern in this record (λ = 1.5418 Å (Cu Kα)).
Peak positions follow from Bragg's law for the DFT cell and can differ from measured ones.

Structure:
Lattice parameters (Å, degrees): 4.261 4.261 14.841 90.00 90.00 90.00
Space group I-4m2 (No. 119)
Symmetry-distinct sites (fractional):
1 Ce 0.000 0.000 0.000
2 Nd 0.000 0.500 0.750
3 Ga 0.000 0.000 0.417
4 Ga 0.000 0.500 0.167

Principal peaks in the range 2θ from 5° to 70°, in order of falling intensity:
- 32.1 deg, d = 2.792 Å, I = 100
- 36.9 deg, d = 2.436 Å, I = 53
- 42.4 deg, d = 2.131 Å, I = 41
- 27.6 deg, d = 3.229 Å, I = 31
- 57.5 deg, d = 1.604 Å, I = 29
- 47.9 deg, d = 1.898 Å, I = 25
- 65.9 deg, d = 1.417 Å, I = 19
- 61.6 deg, d = 1.507 Å, I = 13
- 51.4 deg, d = 1.778 Å, I = 11
- 24.0 deg, d = 3.710 Å, I = 5

***

Entry 6:
For Ti2Nb2Cu3O12, the PBE geometry in Alexandria gives the theoretical X-ray powder pattern in this record (λ = 1.5418 Å (Cu Kα)).
Peak positions follow from Bragg's law for the DFT cell and can differ from measured ones.

Structure:
Lattice parameters (Å, degrees): 10.566 7.531 7.516 90.00 134.61 90.00
Space group C2/m (No. 12)
Symmetry-distinct sites (fractional):
1 Ti 0.250 0.250 0.000
2 Nb 0.250 0.250 0.500
3 Cu 0.000 0.000 0.000
4 Cu 0.000 0.000 0.500
5 Cu 0.000 0.500 0.000
6 O 0.002 0.188 0.682
7 O 0.178 0.500 0.365
8 O 0.183 0.500 0.995
9 O 0.188 0.181 0.187

Principal peaks in the range 2θ from 5° to 70°, in order of falling intensity:
- 33.7 deg, d = 2.660 Å, I = 100
- 60.0 deg, d = 1.541 Å, I = 38
- 48.4 deg, d = 1.882 Å, I = 27
- 33.5 deg, d = 2.675 Å, I = 25
- 33.9 deg, d = 2.641 Å, I = 25
- 60.6 deg, d = 1.529 Å, I = 25
- 16.8 deg, d = 5.283 Å, I = 22
- 16.7 deg, d = 5.321 Å, I = 18
- 29.0 deg, d = 3.080 Å, I = 18
- 48.5 deg, d = 1.879 Å, I = 14

***

Entry 7:
For ZrTi5Fe6, the PBE geometry in Alexandria gives the theoretical X-ray powder pattern in this record (λ = 1.5418 Å (Cu Kα)).
Peak positions follow from Bragg's law for the DFT cell and can differ from measured ones.

Structure:
Lattice parameters (Å, degrees): 4.233 12.707 5.975 90.00 90.00 90.00
Space group Cmmm (No. 65)
Symmetry-distinct sites (fractional):
1 Zr 0.000 0.000 0.000
2 Ti 0.000 0.000 0.500
3 Ti 0.000 0.330 0.000
4 Ti 0.000 0.333 0.500
5 Fe 0.000 0.170 0.255
6 Fe 0.000 0.500 0.259

Principal peaks in the range 2θ from 5° to 70°, in order of falling intensity:
- 42.7 deg, d = 2.116 Å, I = 100
- 62.0 deg, d = 1.497 Å, I = 10
- 62.1 deg, d = 1.494 Å, I = 5
- 26.7 deg, d = 3.333 Å, I = 1
- 33.5 deg, d = 2.677 Å, I = 1
- 22.1 deg, d = 4.016 Å, I = 1
- 20.4 deg, d = 4.353 Å, I = 1
- 28.1 deg, d = 3.177 Å, I = 1
- 13.9 deg, d = 6.353 Å, I = 1
- 37.5 deg, d = 2.397 Å, I = 1